Simulated PXRD pattern of Sm4MgNi for Cu Kα X-rays, from a cell relaxed with PBE.
Peak positions follow from Bragg's law for the DFT cell and can differ from measured ones.

Structural model:
Lattice parameters (Å, degrees): 9.828 9.828 9.828 60.00 60.00 60.00
Fractional coordinates of all 24 atoms:
Sm1 0.186 0.186 0.814
Sm2 0.186 0.814 0.186
Sm3 0.186 0.814 0.814
Sm4 0.403 0.403 0.403
Sm5 0.403 0.403 0.790
Sm6 0.403 0.790 0.403
Sm7 0.562 0.562 0.938
Sm8 0.562 0.938 0.562
Sm9 0.562 0.938 0.938
Sm10 0.790 0.403 0.403
Sm11 0.814 0.186 0.186
Sm12 0.814 0.186 0.814
Sm13 0.814 0.814 0.186
Sm14 0.938 0.562 0.562
Sm15 0.938 0.562 0.938
Sm16 0.938 0.938 0.562
Mg1 0.170 0.170 0.170
Mg2 0.170 0.170 0.490
Mg3 0.170 0.490 0.170
Mg4 0.490 0.170 0.170
Ni1 0.176 0.608 0.608
Ni2 0.608 0.176 0.608
Ni3 0.608 0.608 0.176
Ni4 0.608 0.608 0.608

Principal peaks in the range 5° ≤ 2θ ≤ 70°, low angle first:
Position (°2θ), d [Å], I/Imax
11.03, 8.025, 15
27.98, 3.189, 54
31.53, 2.837, 63
33.50, 2.675, 100
36.57, 2.457, 30
54.00, 1.698, 19
56.15, 1.638, 57
57.42, 1.605, 15